No. 1
# ZrSnNOF
Computed powder diffraction line list, Cu Kα, 1.54184 Å. Input: DFT lattice parameters and positions (GGA-PBE).
No peak broadening, texture or thermal motion is included.

Structural model:
```
data_ZrSnNOF
_chemical_formula_sum 'Zr1 Sn1 N1 O1 F1'
_cell_length_a 3.951
_cell_length_b 4.090
_cell_length_c 4.615
_cell_angle_alpha 90.00
_cell_angle_beta 90.00
_cell_angle_gamma 90.00
_symmetry_space_group_name_H-M 'P m m 2'
_symmetry_Int_Tables_number 25
_symmetry_space_group_name_Hall 'P 2 -2'
loop_
_atom_site_label
_atom_site_fract_x
_atom_site_fract_y
_atom_site_fract_z
Zr1 0.000 0.000 0.000
Sn1 0.500 0.500 0.606
N1 0.000 0.500 0.871
O1 0.500 0.000 0.859
F1 0.000 0.000 0.439
```

The 8 most intense peaks (2θ from 5° to 70°), in order of rising 2θ:
2theta, I (rel.), h k l
19.23, 33.3, 0 0 1
29.17, 100.0, 0 1 1
29.77, 95.7, 1 0 1
31.48, 95.9, 1 1 0
44.29, 30.7, 0 2 0
50.98, 43.4, 1 1 2
54.28, 36.3, 1 2 1
55.35, 34.3, 2 1 1

***

No. 2
# ErRe4SiGe
Computed powder diffraction line list, Cu Kα, 1.54184 Å. Input: DFT lattice parameters and positions (GGA-PBE).
No peak broadening, texture or thermal motion is included.

Structural model:
```
data_ErRe4SiGe
_chemical_formula_sum 'Er2 Re8 Si2 Ge2'
_cell_length_a 4.049
_cell_length_b 4.103
_cell_length_c 14.225
_cell_angle_alpha 90.00
_cell_angle_beta 90.00
_cell_angle_gamma 90.00
_symmetry_space_group_name_H-M 'A m m 2'
_symmetry_Int_Tables_number 38
_symmetry_space_group_name_Hall 'A 2 -2'
loop_
_atom_site_label
_atom_site_fract_x
_atom_site_fract_y
_atom_site_fract_z
Er1 0.000 0.000 0.000
Re1 0.000 0.000 0.309
Re2 0.000 0.000 0.700
Re3 0.500 0.000 0.192
Re4 0.500 0.000 0.817
Si1 0.500 0.000 0.413
Ge1 0.500 0.000 0.584
```

The 8 most intense peaks (2θ from 5° to 70°), in order of rising 2θ:
2theta, I (rel.), h k l
12.44, 50.6, 0 0 2
33.54, 7.9, 1 0 4
36.48, 100.0, 1 1 3
37.95, 8.0, 0 0 6
44.15, 22.0, 0 2 0
44.76, 54.3, 2 0 0
55.31, 10.0, 1 1 7
64.68, 14.3, 2 2 0

***

No. 3
# In3GaPd4
Computed powder diffraction line list, Cu Kα, 1.54184 Å. Input: DFT lattice parameters and positions (GGA-PBE).
No peak broadening, texture or thermal motion is included.

Structural model:
```
data_In3GaPd4
_chemical_formula_sum 'In9 Ga3 Pd12'
_cell_length_a 7.4670
_cell_length_b 7.4670
_cell_length_c 8.8154
_cell_angle_alpha 90.00
_cell_angle_beta 90.00
_cell_angle_gamma 120.00
_symmetry_space_group_name_H-M 'R 3'
_symmetry_Int_Tables_number 146
_symmetry_space_group_name_Hall 'R 3'
loop_
_atom_site_label
_atom_site_fract_x
_atom_site_fract_y
_atom_site_fract_z
In1 0.1085 0.3975 0.0000
Ga1 0.0000 0.0000 0.7895
Pd1 0.0000 0.0000 0.0817
Pd2 0.0322 0.7712 0.5772
```

The 8 most intense peaks (2θ from 5° to 70°), in order of rising 2θ:
2theta, I (rel.), h k l
34.40, 19.2, 2 0 2
38.21, 100.0, 3 -1 1
39.01, 71.0, 1 1 3
41.91, 15.9, 3 0 0
42.28, 54.0, 1 2 2
43.38, 21.1, 1 0 4
66.23, 17.7, 4 1 0
67.31, 15.8, 4 -3 4

***

No. 4
# Co2NiSn2
Computed powder diffraction line list, Cu Kα, 1.54184 Å. Input: DFT lattice parameters and positions (GGA-PBE).
No peak broadening, texture or thermal motion is included.

Structural model:
```
data_Co2NiSn2
_chemical_formula_sum 'Co4 Ni2 Sn4'
_cell_length_a 5.196
_cell_length_b 4.068
_cell_length_c 7.099
_cell_angle_alpha 90.00
_cell_angle_beta 90.00
_cell_angle_gamma 90.00
_symmetry_space_group_name_H-M 'P m m a'
_symmetry_Int_Tables_number 51
_symmetry_space_group_name_Hall '-P 2a 2a'
loop_
_atom_site_label
_atom_site_fract_x
_atom_site_fract_y
_atom_site_fract_z
Co1 0.000 0.000 0.000
Co2 0.250 0.000 0.338
Ni1 0.000 0.500 0.500
Sn1 0.250 0.000 0.690
Sn2 0.250 0.500 0.134
```

The 8 most intense peaks (2θ from 5° to 70°), in order of rising 2θ:
2theta, I (rel.), h k l
30.50, 24.6, 1 0 2
30.62, 50.4, 1 1 1
34.53, 12.9, 2 0 0
43.22, 100.0, 2 1 1
44.28, 64.5, 0 1 3
44.54, 37.5, 0 2 0
59.43, 12.6, 3 1 1
63.75, 17.4, 2 2 2

***

No. 5
# Dy2Y2TmLu2Ni2Te2
Computed powder diffraction line list, Cu Kα, 1.54184 Å. Input: DFT lattice parameters and positions (GGA-PBE).
No peak broadening, texture or thermal motion is included.

Structural model:
```
data_Dy2Y2TmLu2Ni2Te2
_chemical_formula_sum 'Dy4 Y4 Tm2 Lu4 Ni4 Te4'
_cell_length_a 3.824
_cell_length_b 15.524
_cell_length_c 9.604
_cell_angle_alpha 90.00
_cell_angle_beta 90.00
_cell_angle_gamma 90.00
_symmetry_space_group_name_H-M 'I m m 2'
_symmetry_Int_Tables_number 44
_symmetry_space_group_name_Hall 'I 2 -2'
loop_
_atom_site_label
_atom_site_fract_x
_atom_site_fract_y
_atom_site_fract_z
Dy1 0.000 0.132 0.000
Y1 0.000 0.315 0.202
Tm1 0.000 0.000 0.578
Lu1 0.000 0.354 0.854
Ni1 0.000 0.236 0.503
Te1 0.000 0.000 0.246
Te2 0.000 0.500 0.343
```

The 8 most intense peaks (2θ from 5° to 70°), in order of rising 2θ:
2theta, I (rel.), h k l
30.43, 50.0, 1 1 2
32.90, 61.0, 0 3 3
34.22, 100.0, 1 4 1
34.65, 45.8, 0 6 0
44.96, 15.5, 1 1 4
47.55, 22.9, 2 0 0
51.29, 24.8, 1 7 2
59.03, 22.8, 2 3 3

***

No. 6
# DyAl2Ga2Ni
Computed powder diffraction line list, Cu Kα, 1.54184 Å. Input: DFT lattice parameters and positions (GGA-PBE).
No peak broadening, texture or thermal motion is included.

Structural model:
```
data_DyAl2Ga2Ni
_chemical_formula_sum 'Dy4 Al8 Ga8 Ni4'
_cell_length_a 4.095
_cell_length_b 15.323
_cell_length_c 6.532
_cell_angle_alpha 90.00
_cell_angle_beta 90.00
_cell_angle_gamma 90.00
_symmetry_space_group_name_H-M 'C m c m'
_symmetry_Int_Tables_number 63
_symmetry_space_group_name_Hall '-C 2c 2'
loop_
_atom_site_label
_atom_site_fract_x
_atom_site_fract_y
_atom_site_fract_z
Dy1 0.000 0.121 0.250
Al1 0.000 0.073 0.750
Al2 0.000 0.500 0.000
Ga1 0.000 0.316 0.051
Ni1 0.000 0.225 0.750
```

The 8 most intense peaks (2θ from 5° to 70°), in order of rising 2θ:
2theta, I (rel.), h k l
11.55, 83.7, 0 2 0
31.16, 53.7, 1 3 1
35.65, 100.0, 1 1 2
36.63, 58.4, 1 5 0
37.82, 52.2, 0 6 1
39.22, 53.2, 1 5 1
39.46, 68.5, 1 3 2
44.24, 48.6, 2 0 0